Starting from a crystal structure in Alexandria, relaxed with GGA+U, the X-ray powder pattern of Na4Tb3MoO8 was simulated for a wavelength of 1.5418 Å.
Kinematic intensities with the Lorentz-polarization factor, no thermal factor.

Cell and atoms:
Unit cell a=6.8153 b=6.8153 c=6.8153 alpha=59.68 beta=59.68 gamma=59.68
Fractional positions:
Na  0.0000  0.0000  0.0000
Na  0.0000  0.5000  0.5000
Na  0.5000  0.0000  0.5000
Na  0.5000  0.5000  0.0000
Tb  0.0000  0.0000  0.5000
Tb  0.0000  0.5000  0.0000
Tb  0.5000  0.0000  0.0000
Mo  0.5000  0.5000  0.5000
O  0.2375  0.2375  0.2375
O  0.2459  0.7333  0.7333
O  0.2667  0.2667  0.7541
O  0.2667  0.7541  0.2667
O  0.7333  0.2459  0.7333
O  0.7333  0.7333  0.2459
O  0.7541  0.2667  0.2667
O  0.7625  0.7625  0.7625

Largest 6 diffraction maxima, sorted by position, 10° ≤ 2θ ≤ 80°:
| two_theta | I_rel |
| --- | --- |
| 15.89 | 100.0 |
| 30.91 | 51.7 |
| 32.31 | 60.0 |
| 37.41 | 88.8 |
| 53.80 | 28.1 |
| 54.09 | 29.2 |